Record 1
Theoretical powder XRD pattern of CuGe5Pb3O14 for Cu Kα X-rays, from a structure optimized by DFT (PBE).
Peak positions follow from Bragg's law for the DFT cell and can differ from measured ones.

Crystal structure
Lattice parameters (Å, degrees): 10.0060 10.0060 10.5506 120.84 120.84 48.81
Sites, in units of the cell vectors:
Cu 0.0000 0.0000 0.0000
Cu 0.0000 0.0000 0.5000
Ge 0.1551 0.5200 0.3656
Ge 0.1715 0.5812 0.8454
Ge 0.2157 0.7843 0.7500
Ge 0.4188 0.8285 0.6546
Ge 0.4800 0.8449 0.1344
Ge 0.5200 0.1551 0.8656
Ge 0.5812 0.1715 0.3454
Ge 0.7843 0.2157 0.2500
Ge 0.8285 0.4188 0.1546
Ge 0.8449 0.4800 0.6344
Pb 0.1560 0.2171 0.9389
Pb 0.2171 0.1560 0.4389
Pb 0.3521 0.6479 0.2500
Pb 0.6479 0.3521 0.7500
Pb 0.7829 0.8440 0.5611
Pb 0.8440 0.7829 0.0611
O 0.0022 0.4519 0.3197
O 0.0040 0.8676 0.7873
O 0.0960 0.7508 0.0133
O 0.0969 0.7074 0.5298
O 0.1223 0.5723 0.2142
O 0.1324 0.9960 0.7127
O 0.2492 0.9040 0.4867
O 0.2926 0.9031 0.9702
O 0.3185 0.3756 0.9137
O 0.3272 0.5622 0.7927
O 0.3756 0.3185 0.4137
O 0.4277 0.8777 0.2858
O 0.4378 0.6728 0.7073
O 0.4519 0.0022 0.8197
O 0.5481 0.9978 0.1803
O 0.5622 0.3272 0.2927
O 0.5723 0.1223 0.7142
O 0.6244 0.6815 0.5863
O 0.6728 0.4378 0.2073
O 0.6815 0.6244 0.0863
O 0.7074 0.0969 0.0298
O 0.7508 0.0960 0.5133
O 0.8676 0.0040 0.2873
O 0.8777 0.4277 0.7858
O 0.9031 0.2926 0.4702
O 0.9040 0.2492 0.9867
O 0.9960 0.1324 0.2127
O 0.9978 0.5481 0.6803

Largest 10 diffraction maxima, in order of rising 2θ, 2θ from 10° to 90°:
16.81°, rel. 28; 20.70°, rel. 31; 26.56°, rel. 100; 27.00°, rel. 83; 27.44°, rel. 43; 29.36°, rel. 43; 29.78°, rel. 45; 30.05°, rel. 34; 33.04°, rel. 27; 33.98°, rel. 43


Record 2
Theoretical powder XRD pattern of NaH6CN2ClO2 for Cu Kα X-rays, from a structure optimized by DFT (PBE).
Peak positions follow from Bragg's law for the DFT cell and can differ from measured ones.

Crystal structure
Lattice parameters (Å, degrees): 17.5025 6.6684 5.2551 90.00 90.00 90.00
Sites, in units of the cell vectors:
Na 0.0000 0.0094 0.0000
Na 0.0000 0.4849 0.0036
Na 0.5000 0.5151 0.5036
Na 0.5000 0.9906 0.5000
H 0.0431 0.2414 0.5374
H 0.0441 0.7564 0.4251
H 0.1642 0.4774 0.4804
H 0.1784 0.0306 0.9563
H 0.2379 0.8518 0.5708
H 0.2460 0.6172 0.8854
H 0.2540 0.3828 0.3854
H 0.2621 0.1482 0.0708
H 0.3216 0.9694 0.4563
H 0.3358 0.5226 0.9804
H 0.4559 0.2436 0.9251
H 0.4569 0.7586 0.0374
H 0.5431 0.7586 0.0374
H 0.5441 0.2436 0.9251
H 0.6642 0.5226 0.9804
H 0.6784 0.9694 0.4563
H 0.7379 0.1482 0.0708
H 0.7460 0.3828 0.3854
H 0.7540 0.6172 0.8854
H 0.7621 0.8518 0.5708
H 0.8216 0.0306 0.9563
H 0.8358 0.4774 0.4804
H 0.9559 0.7564 0.4251
H 0.9569 0.2414 0.5374
C 0.1598 0.2553 0.2123
C 0.3402 0.7447 0.7123
C 0.6598 0.7447 0.7123
C 0.8402 0.2553 0.2123
N 0.1959 0.3835 0.3701
N 0.2039 0.1412 0.0588
N 0.2961 0.8588 0.5588
N 0.3041 0.6165 0.8701
N 0.6959 0.6165 0.8701
N 0.7039 0.8588 0.5588
N 0.7961 0.1412 0.0588
N 0.8041 0.3835 0.3701
Cl 0.1194 0.7427 0.7593
Cl 0.3806 0.2573 0.2593
Cl 0.6194 0.2573 0.2593
Cl 0.8806 0.7427 0.7593
O 0.0000 0.2435 0.6589
O 0.0000 0.7505 0.3072
O 0.0871 0.2437 0.2072
O 0.4129 0.7563 0.7071
O 0.5000 0.2495 0.8072
O 0.5000 0.7565 0.1589
O 0.5871 0.7563 0.7071
O 0.9129 0.2437 0.2072

Largest 10 diffraction maxima, in order of rising 2θ, 2θ from 10° to 90°:
10.11°, rel. 27; 21.53°, rel. 100; 26.74°, rel. 27; 29.76°, rel. 89; 30.68°, rel. 20; 33.80°, rel. 24; 35.40°, rel. 24; 40.00°, rel. 29; 43.87°, rel. 28; 49.13°, rel. 21


Record 3
Theoretical powder XRD pattern of Li2Ca3N6 for Cu Kα X-rays, from a structure optimized by DFT (PBE).
Peak positions follow from Bragg's law for the DFT cell and can differ from measured ones.

Crystal structure
Lattice parameters (Å, degrees): 4.8689 14.2136 8.0642 90.00 90.00 90.00
Sites, in units of the cell vectors:
Li 0.0000 0.1610 0.0000
Li 0.0000 0.3372 0.5000
Li 0.0000 0.6628 0.5000
Li 0.0000 0.8390 0.0000
Li 0.5000 0.1610 0.0000
Li 0.5000 0.3372 0.5000
Li 0.5000 0.6628 0.5000
Li 0.5000 0.8390 0.0000
Ca 0.2500 0.0000 0.1819
Ca 0.2500 0.1634 0.6607
Ca 0.2500 0.3383 0.1589
Ca 0.2500 0.5000 0.6822
Ca 0.2500 0.6617 0.1589
Ca 0.2500 0.8366 0.6607
Ca 0.7500 0.0000 0.8181
Ca 0.7500 0.1634 0.3393
Ca 0.7500 0.3383 0.8411
Ca 0.7500 0.5000 0.3178
Ca 0.7500 0.6617 0.8411
Ca 0.7500 0.8366 0.3393
N 0.2500 0.0463 0.8887
N 0.2500 0.1745 0.2155
N 0.2500 0.2061 0.3681
N 0.2500 0.3000 0.8665
N 0.2500 0.3272 0.7119
N 0.2500 0.4539 0.3877
N 0.2500 0.5461 0.3877
N 0.2500 0.6728 0.7119
N 0.2500 0.7000 0.8665
N 0.2500 0.7939 0.3681
N 0.2500 0.8255 0.2155
N 0.2500 0.9537 0.8887
N 0.7500 0.0463 0.1113
N 0.7500 0.1745 0.7845
N 0.7500 0.2061 0.6319
N 0.7500 0.3000 0.1335
N 0.7500 0.3272 0.2881
N 0.7500 0.4539 0.6123
N 0.7500 0.5461 0.6123
N 0.7500 0.6728 0.2881
N 0.7500 0.7000 0.1335
N 0.7500 0.7939 0.6319
N 0.7500 0.8255 0.7845
N 0.7500 0.9537 0.1113

Largest 10 diffraction maxima, in order of rising 2θ, 2θ from 10° to 90°:
21.76°, rel. 100; 22.05°, rel. 51; 28.52°, rel. 49; 28.75°, rel. 35; 36.92°, rel. 79; 37.98°, rel. 49; 38.51°, rel. 84; 43.26°, rel. 44; 48.32°, rel. 48; 54.41°, rel. 35


Record 4
Theoretical powder XRD pattern of CeInCu for Cu Kα X-rays, from a structure optimized by DFT (PBE).
Peak positions follow from Bragg's law for the DFT cell and can differ from measured ones.

Crystal structure
Lattice parameters (Å, degrees): 4.7691 4.7691 6.9629 90.00 90.00 120.00
Sites, in units of the cell vectors:
Ce 0.0000 0.0000 0.0000
Ce 0.0000 0.0000 0.5000
In 0.3333 0.6667 0.2500
In 0.6667 0.3333 0.7500
Cu 0.3333 0.6667 0.7500
Cu 0.6667 0.3333 0.2500

Largest 10 diffraction maxima, in order of rising 2θ, 2θ from 10° to 90°:
25.07°, rel. 7; 33.67°, rel. 100; 37.73°, rel. 72; 51.45°, rel. 30; 52.58°, rel. 9; 65.53°, rel. 28; 66.50°, rel. 26; 68.11°, rel. 12; 80.57°, rel. 7; 87.27°, rel. 6